Starting from a DFT-relaxed cell (PBE+U, Alexandria), the PXRD pattern of Mn5P6WO24 was simulated for Cu Ka.
Neutral-atom scattering factors, no anomalous dispersion.

Cell and atoms:
```
data_Mn5P6WO24
_cell_length_a 8.7423
_cell_length_b 8.7423
_cell_length_c 21.5160
_cell_angle_alpha 90.00
_cell_angle_beta 90.00
_cell_angle_gamma 120.00
_space_group_name_H-M_alt 'R 3'
_space_group_IT_number 146
_space_group_name_Hall 'R 3'
loop_
_atom_site_label
_atom_site_fract_x
_atom_site_fract_y
_atom_site_fract_z
Mn1 0.0000 0.0000 0.0000
Mn2 0.0000 0.0000 0.1399
Mn3 0.0000 0.0000 0.3484
Mn4 0.0000 0.0000 0.4933
Mn5 0.0000 0.0000 0.6373
P1 0.0043 0.3036 0.7419
P2 0.0037 0.7125 0.2407
W1 0.0000 0.0000 0.8466
O1 0.0037 0.8285 0.9052
O2 0.0145 0.2208 0.6821
O3 0.0225 0.1924 0.7984
O4 0.0254 0.1953 0.4229
O5 0.1319 0.6859 0.9688
O6 0.1591 0.6855 0.8499
O7 0.1682 0.6971 0.2311
O8 0.1707 0.4949 0.7434
```

Peak list (6 most intense, 2θ = 10–90°, low angle first)
d (Å)  intensity  (hkl)
7.152  34.1  0 0 3
4.374  100.0  1 1 0
3.733  75.8  1 1 3
2.772  64.7  1 1 6
2.524  41.0  3 0 0
1.866  24.5  2 2 6